For La2Tb2NdHo2, the GGA-PBE geometry in Alexandria gives the simulated powder XRD pattern in this record (Cu Kα).

Most intense lines, 2θ = 10–90°, low angle first:
| 2theta | d (Å) | I_rel | hkl |
| --- | --- | --- | --- |
| 30.20 | 2.960 | 100 | 1 1 2 |
| 34.99 | 2.565 | 34 | 4 0 1 |
| 35.05 | 2.560 | 17 | 0 2 0 |
| 50.32 | 1.813 | 18 | 2 0 4 |
| 50.37 | 1.811 | 18 | 4 2 1 |
| 59.79 | 1.547 | 21 | 5 1 3 |
| 59.89 | 1.544 | 22 | 7 1 0 |
| 62.79 | 1.480 | 12 | 2 2 4 |
| 73.91 | 1.282 | 4 | 8 0 2 |
| 81.94 | 1.176 | 12 | 5 3 3 |
| 84.51 | 1.147 | 7 | 8 2 2 |
| 84.61 | 1.145 | 7 | 4 4 1 |

Structure:
a = 11.4568 Å, b = 5.1200 Å, c = 8.1187 Å
α = 90.00°, β = 98.09°, γ = 90.00°
Sites, in units of the cell vectors:
La (0.1428, 0.0000, 0.4280)
La (0.3572, 0.5000, 0.5720)
La (0.6428, 0.5000, 0.4280)
La (0.8572, 0.0000, 0.5720)
Tb (0.0710, 0.5000, 0.7187)
Tb (0.4290, 0.0000, 0.2813)
Tb (0.5710, 0.0000, 0.7187)
Tb (0.9290, 0.5000, 0.2813)
Nd (0.0000, 0.0000, 0.0000)
Nd (0.5000, 0.5000, 0.0000)
Ho (0.2159, 0.5000, 0.1387)
Ho (0.2841, 0.0000, 0.8613)
Ho (0.7159, 0.0000, 0.1387)
Ho (0.7841, 0.5000, 0.8613)